1.
The following is a computed PXRD pattern of PmPr3Er5. It was derived from DFT lattice parameters and positions (PBE), using Cu Kα (λ = 1.5418 Å).
Lines closer than 0.1° are merged.

Structure:
a = 9.559 Å, b = 9.559 Å, c = 10.080 Å
α = 121.72°, β = 121.72°, γ = 72.07°
Sites, in units of the cell vectors:
Pm: 0.246 0.246 0.090
Pm: 0.754 0.754 0.910
Pr: 0.000 0.000 0.000
Pr: 0.027 0.027 0.688
Pr: 0.491 0.491 0.789
Pr: 0.500 0.500 0.500
Pr: 0.509 0.509 0.211
Pr: 0.973 0.973 0.312
Er: 0.089 0.593 0.438
Er: 0.222 0.222 0.409
Er: 0.259 0.741 0.000
Er: 0.286 0.286 0.794
Er: 0.407 0.911 0.562
Er: 0.593 0.089 0.438
Er: 0.714 0.714 0.206
Er: 0.741 0.259 0.000
Er: 0.778 0.778 0.591
Er: 0.911 0.407 0.562

Principal peaks in the range 10° ≤ 2θ ≤ 90°, sorted by position:
two_theta  Rel. int.
15.8  35
28.2  30
29.2  68
31.7  100
31.8  73
32.0  27
34.5  41
39.1  65
51.3  23
66.5  23

2.
The following is a computed PXRD pattern of Nd6ZnPd. It was derived from DFT lattice parameters and positions (PBE), using Cu Kα (λ = 1.5418 Å).
Lines closer than 0.1° are merged.

Structure:
a = 9.582 Å, b = 9.582 Å, c = 9.582 Å
α = 148.52°, β = 148.52°, γ = 45.12°
Sites, in units of the cell vectors:
Nd: 0.101 0.601 0.500
Nd: 0.247 0.247 0.000
Nd: 0.399 0.899 0.500
Nd: 0.601 0.101 0.500
Nd: 0.753 0.753 0.000
Nd: 0.899 0.399 0.500
Zn: 0.000 0.000 0.000
Pd: 0.500 0.500 0.000

Principal peaks in the range 10° ≤ 2θ ≤ 90°, sorted by position:
two_theta  Rel. int.
26.3  14
30.3  10
31.6  100
34.5  48
46.6  12
49.6  17
54.5  11
57.8  9
60.0  32
83.1  8

3.
The following is a computed PXRD pattern of Cs3PbS3. It was derived from DFT lattice parameters and positions (PBE), using Cu Kα (λ = 1.5418 Å).
Lines closer than 0.1° are merged.

Structure:
a = 10.005 Å, b = 8.677 Å, c = 13.711 Å
α = 90.00°, β = 95.55°, γ = 90.00°
Sites, in units of the cell vectors:
Cs: 0.070 0.152 0.135
Cs: 0.070 0.348 0.635
Cs: 0.339 0.719 0.796
Cs: 0.339 0.781 0.296
Cs: 0.387 0.219 0.926
Cs: 0.387 0.281 0.426
Cs: 0.613 0.719 0.574
Cs: 0.613 0.781 0.074
Cs: 0.661 0.219 0.704
Cs: 0.661 0.281 0.204
Cs: 0.930 0.652 0.365
Cs: 0.930 0.848 0.865
Pb: 0.164 0.590 0.058
Pb: 0.164 0.910 0.558
Pb: 0.836 0.090 0.442
Pb: 0.836 0.410 0.942
S: 0.100 0.045 0.381
S: 0.100 0.455 0.881
S: 0.257 0.630 0.525
S: 0.257 0.870 0.025
S: 0.346 0.076 0.660
S: 0.346 0.424 0.160
S: 0.654 0.576 0.840
S: 0.654 0.924 0.340
S: 0.743 0.130 0.975
S: 0.743 0.370 0.475
S: 0.900 0.545 0.119
S: 0.900 0.955 0.619

Principal peaks in the range 10° ≤ 2θ ≤ 90°, sorted by position:
two_theta  Rel. int.
12.1  44
21.0  50
23.1  100
23.4  71
23.5  96
28.1  81
28.5  67
28.8  64
29.5  29
35.2  42